This entry pairs a crystal structure of Pr3Ge4Pt with its calculated powder XRD pattern. Radiation: a wavelength of 1.5418 Å. Structure: the PBE geometry in Alexandria.

The 10 most intense peaks (2θ = 15–90°), sorted by position:
- 27.4 deg, rel. 100, (1 1 2)
- 33.6 deg, rel. 14, (0 1 5)
- 34.5 deg, rel. 27, (1 1 4)
- 36.0 deg, rel. 18, (1 0 5)
- 38.6 deg, rel. 27, (0 2 4)
- 39.6 deg, rel. 27, (2 0 0)
- 40.4 deg, rel. 29, (1 2 3)
- 51.5 deg, rel. 18, (1 3 2)
- 55.4 deg, rel. 15, (1 1 8)
- 56.4 deg, rel. 18, (2 2 4)

Cell and atoms:
```
data_Pr3Ge4Pt
_chemical_formula_sum 'Pr6 Ge8 Pt2'
_symmetry_space_group_name_H-M 'I m m m'
_symmetry_Int_Tables_number 71
_symmetry_space_group_name_Hall '-I 2 2'
_cell_length_a 4.555
_cell_length_b 5.990
_cell_length_c 14.908
_cell_angle_alpha 90.00
_cell_angle_beta 90.00
_cell_angle_gamma 90.00
loop_
_atom_site_label
_atom_site_type_symbol
_atom_site_fract_x
_atom_site_fract_y
_atom_site_fract_z
Pr1 Pr 0.000 0.000 0.000
Pr2 Pr 0.000 0.500 0.191
Ge1 Ge 0.000 0.288 0.378
Pt1 Pt 0.000 0.000 0.500
```

This entry pairs a crystal structure of V3B with its calculated powder XRD pattern. Radiation: a wavelength of 1.5418 Å. Structure: the PBE geometry in Alexandria.

The 10 most intense peaks (2θ = 15–90°), sorted by position:
- 33.4 deg, rel. 34, (0 1 1)
- 38.0 deg, rel. 42, (0 0 3)
- 40.1 deg, rel. 100, (0 1 2)
- 40.3 deg, rel. 15, (1 1 1)
- 44.6 deg, rel. 83, (2 0 -2)
- 51.9 deg, rel. 54, (2 1 0)
- 64.2 deg, rel. 15, (0 2 0)
- 70.4 deg, rel. 35, (2 1 3)
- 74.4 deg, rel. 14, (0 1 5)
- 81.5 deg, rel. 25, (2 2 -2)

Cell and atoms:
```
data_V3B
_chemical_formula_sum 'V6 B2'
_symmetry_space_group_name_H-M 'P 1 21/m 1'
_symmetry_Int_Tables_number 11
_symmetry_space_group_name_Hall '-P 2yb'
_cell_length_a 4.495
_cell_length_b 2.902
_cell_length_c 7.191
_cell_angle_alpha 90.00
_cell_angle_beta 99.04
_cell_angle_gamma 90.00
loop_
_atom_site_label
_atom_site_type_symbol
_atom_site_fract_x
_atom_site_fract_y
_atom_site_fract_z
V1 V 0.084 0.250 0.339
V2 V 0.235 0.250 0.939
V3 V 0.413 0.750 0.659
B1 B 0.291 0.750 0.160
```

This entry pairs a crystal structure of H6PtPb2Au with its calculated powder XRD pattern. Radiation: a wavelength of 1.5418 Å. Structure: the PBE geometry in Alexandria.

The 10 most intense peaks (2θ = 15–90°), sorted by position:
- 15.8 deg, rel. 54, (0 0 1)
- 26.1 deg, rel. 51, (1 1 -1)
- 29.0 deg, rel. 100, (1 -1 1)
- 29.5 deg, rel. 48, (-1 1 1)
- 31.8 deg, rel. 43, (0 0 2)
- 34.1 deg, rel. 60, (1 1 -2)
- 35.4 deg, rel. 58, (0 2 0)
- 35.7 deg, rel. 56, (1 1 1)
- 37.5 deg, rel. 48, (2 0 -1)
- 41.0 deg, rel. 51, (-1 1 2)

Cell and atoms:
```
data_H6PtPb2Au
_chemical_formula_sum 'H6 Pt1 Pb2 Au1'
_symmetry_space_group_name_H-M 'P 1'
_symmetry_Int_Tables_number 1
_symmetry_space_group_name_Hall 'P 1'
_cell_length_a 4.891
_cell_length_b 5.262
_cell_length_c 5.980
_cell_angle_alpha 104.92
_cell_angle_beta 102.33
_cell_angle_gamma 91.57
loop_
_atom_site_label
_atom_site_type_symbol
_atom_site_fract_x
_atom_site_fract_y
_atom_site_fract_z
H1 H 0.000 0.000 0.000
H2 H 0.011 0.558 0.049
H3 H 0.321 0.882 0.264
H4 H 0.464 0.019 0.992
H5 H 0.485 0.547 0.004
H6 H 0.782 0.377 0.316
Pt1 Pt 0.230 0.761 0.974
Pb1 Pb 0.074 0.254 0.606
Pb2 Pb 0.599 0.757 0.613
Au1 Au 0.746 0.284 0.010
```

This entry pairs a crystal structure of MgPdRu2S with its calculated powder XRD pattern. Radiation: a wavelength of 1.5418 Å. Structure: the PBE geometry in Alexandria.

The 10 most intense peaks (2θ = 15–90°), sorted by position:
- 18.9 deg, rel. 20, (1 0 0)
- 19.7 deg, rel. 7, (0 0 1)
- 33.6 deg, rel. 100, (1 1 1)
- 38.4 deg, rel. 46, (2 0 0)
- 40.0 deg, rel. 20, (0 0 2)
- 55.4 deg, rel. 15, (2 2 0)
- 56.7 deg, rel. 29, (2 0 2)
- 66.4 deg, rel. 26, (3 1 1)
- 68.6 deg, rel. 12, (1 1 3)
- 70.5 deg, rel. 15, (2 2 2)

Cell and atoms:
```
data_MgPdRu2S
_chemical_formula_sum 'Mg1 Pd1 Ru2 S1'
_symmetry_space_group_name_H-M 'P 4/m m m'
_symmetry_Int_Tables_number 123
_symmetry_space_group_name_Hall '-P 4 2'
_cell_length_a 4.690
_cell_length_b 4.690
_cell_length_c 4.506
_cell_angle_alpha 90.00
_cell_angle_beta 90.00
_cell_angle_gamma 90.00
loop_
_atom_site_label
_atom_site_type_symbol
_atom_site_fract_x
_atom_site_fract_y
_atom_site_fract_z
Mg1 Mg 0.000 0.000 0.000
Pd1 Pd 0.000 0.000 0.500
Ru1 Ru 0.000 0.500 0.000
S1 S 0.500 0.500 0.500
```

This entry pairs a crystal structure of BaNdP with its calculated powder XRD pattern. Radiation: a wavelength of 1.5418 Å. Structure: the PBE geometry in Alexandria.

The 10 most intense peaks (2θ = 15–90°), sorted by position:
- 23.9 deg, rel. 47, (4 0 0)
- 24.2 deg, rel. 59, (0 1 1)
- 24.9 deg, rel. 100, (1 0 2)
- 30.2 deg, rel. 86, (3 0 2)
- 34.3 deg, rel. 29, (4 1 1)
- 38.9 deg, rel. 69, (5 0 2)
- 42.5 deg, rel. 52, (0 2 0)
- 49.4 deg, rel. 41, (4 2 0)
- 59.0 deg, rel. 20, (5 2 2)
- 66.9 deg, rel. 22, (8 2 0)

Cell and atoms:
```
data_BaNdP
_chemical_formula_sum 'Ba4 Nd4 P4'
_symmetry_space_group_name_H-M 'A m m 2'
_symmetry_Int_Tables_number 38
_symmetry_space_group_name_Hall 'A 2 -2'
_cell_length_a 14.866
_cell_length_b 4.253
_cell_length_c 7.369
_cell_angle_alpha 90.00
_cell_angle_beta 90.00
_cell_angle_gamma 90.00
loop_
_atom_site_label
_atom_site_type_symbol
_atom_site_fract_x
_atom_site_fract_y
_atom_site_fract_z
Ba1 Ba 0.127 0.000 0.000
Nd1 Nd 0.388 0.000 0.671
P1 P 0.000 0.000 0.667
P2 P 0.500 0.000 0.005
```

This entry pairs a crystal structure of KTiSe3 with its calculated powder XRD pattern. Radiation: a wavelength of 1.5418 Å. Structure: the PBE geometry in Alexandria.

The 10 most intense peaks (2θ = 15–90°), sorted by position:
- 24.3 deg, rel. 77, (2 0 0)
- 28.2 deg, rel. 90, (2 1 1)
- 28.3 deg, rel. 100, (2 0 2)
- 28.8 deg, rel. 32, (0 0 4)
- 35.0 deg, rel. 95, (2 1 3)
- 45.3 deg, rel. 26, (3 2 1)
- 45.9 deg, rel. 52, (2 1 5)
- 49.8 deg, rel. 38, (4 0 0)
- 50.1 deg, rel. 32, (3 2 3)
- 50.7 deg, rel. 26, (2 0 6)

Cell and atoms:
```
data_KTiSe3
_chemical_formula_sum 'K4 Ti4 Se12'
_symmetry_space_group_name_H-M 'I -4 m 2'
_symmetry_Int_Tables_number 119
_symmetry_space_group_name_Hall 'I -4 -2'
_cell_length_a 7.319
_cell_length_b 7.319
_cell_length_c 12.409
_cell_angle_alpha 90.00
_cell_angle_beta 90.00
_cell_angle_gamma 90.00
loop_
_atom_site_label
_atom_site_type_symbol
_atom_site_fract_x
_atom_site_fract_y
_atom_site_fract_z
K1 K 0.000 0.000 0.161
Ti1 Ti 0.000 0.000 0.500
Ti2 Ti 0.000 0.500 0.750
Se1 Se 0.000 0.256 0.623
Se2 Se 0.000 0.500 0.157
```